This entry pairs a crystal structure of Ta2MoW5 with its calculated powder diffraction line list. Radiation: Cu Kα, 1.54184 Å. Structure: a DFT-relaxed cell (PBE, Alexandria).

Atomic structure:
abc: 6.419 12.838 3.211
angles: 90.00 90.00 90.00
Space group Pbam (No. 55)
Symmetry-distinct sites (fractional):
Ta: 0.247 0.124 0.000 (multiplicity 4)
Mo: 0.000 0.000 0.500 (multiplicity 2)
W: 0.000 0.500 0.500 (multiplicity 2)
W: 0.002 0.749 0.500 (multiplicity 4)
W: 0.249 0.375 0.000 (multiplicity 4)

Principal peaks in the range 2θ = 10–90°, sorted by position:
d = 6.419 Å, intensity 0.7
d = 5.742 Å, intensity 1.2
d = 2.270 Å, intensity 100.0
d = 1.605 Å, intensity 17.2
d = 1.310 Å, intensity 35.1
d = 1.135 Å, intensity 11.4